# Li4PaAs3O12
Calculated powder X-ray diffraction pattern, Cu Kα (weighted mean of Kα1 and Kα2). Input: a DFT-relaxed cell (GGA-PBE, Alexandria).

Crystal structure
```
data_Li4PaAs3O12
_chemical_formula_sum 'Li8 Pa2 As6 O24'
_space_group_name_H-M_alt 'I m -3'
_space_group_IT_number 204
_space_group_name_Hall '-I 2 2 3'
_cell_length_a 7.2554
_cell_length_b 7.2554
_cell_length_c 7.2554
_cell_angle_alpha 90.00
_cell_angle_beta 90.00
_cell_angle_gamma 90.00
loop_
_atom_site_label
_atom_site_type_symbol
_atom_site_fract_x
_atom_site_fract_y
_atom_site_fract_z
Li1 Li 0.2500 0.2500 0.2500
Pa1 Pa 0.0000 0.0000 0.0000
As1 As 0.0000 0.0000 0.5000
O1 O 0.0000 0.3165 0.1640
```

Top 8 peaks for 10 to 90 degrees two-theta, most intense first:
2θ = 24.54°, rel. 100, (2 0 0); 2θ = 34.98°, rel. 79, (2 2 0); 2θ = 17.28°, rel. 46, (1 1 0); 2θ = 62.74°, rel. 44, (4 2 2); 2θ = 43.19°, rel. 40, (2 2 2); 2θ = 56.74°, rel. 36, (4 0 2); 2θ = 46.85°, rel. 27, (3 1 2); 2θ = 39.27°, rel. 26, (3 0 1)